Record 1
Theoretical powder X-ray diffraction pattern of Sb2O5 for Cu Kα, 1.54184 Å, from DFT lattice parameters and positions (GGA-PBE).

Cell and atoms:
abc: 5.499 5.499 9.790
angles: 90.00 90.00 137.35
Positions (direct):
Sb (0.135, 0.865, 0.564)
Sb (0.135, 0.865, 0.936)
Sb (0.865, 0.135, 0.064)
Sb (0.865, 0.135, 0.436)
O (0.050, 0.950, 0.120)
O (0.050, 0.950, 0.380)
O (0.208, 0.792, 0.750)
O (0.316, 0.684, 0.035)
O (0.316, 0.684, 0.465)
O (0.684, 0.316, 0.535)
O (0.684, 0.316, 0.965)
O (0.792, 0.208, 0.250)
O (0.950, 0.050, 0.620)
O (0.950, 0.050, 0.880)

Largest 6 diffraction maxima, low angle first, 15° ≤ 2θ ≤ 90°:
2θ/deg  I (rel.)
18.12  97
19.56  42
23.88  100
32.53  62
36.60  31
49.85  32

Record 2
Theoretical powder X-ray diffraction pattern of Tl6SBr4 for Cu Kα, 1.54184 Å, from DFT lattice parameters and positions (GGA-PBE).

Cell and atoms:
abc: 9.009 9.009 9.567
angles: 90.00 90.00 90.00
Positions (direct):
Tl (0.000, 0.000, 0.200)
Tl (0.000, 0.000, 0.800)
Tl (0.106, 0.313, 0.500)
Tl (0.187, 0.394, 0.000)
Tl (0.313, 0.894, 0.500)
Tl (0.394, 0.813, 0.000)
Tl (0.500, 0.500, 0.300)
Tl (0.500, 0.500, 0.700)
Tl (0.606, 0.187, 0.000)
Tl (0.687, 0.106, 0.500)
Tl (0.813, 0.606, 0.000)
Tl (0.894, 0.687, 0.500)
S (0.000, 0.000, 0.500)
S (0.500, 0.500, 0.000)
Br (0.170, 0.670, 0.250)
Br (0.170, 0.670, 0.750)
Br (0.330, 0.170, 0.250)
Br (0.330, 0.170, 0.750)
Br (0.670, 0.830, 0.250)
Br (0.670, 0.830, 0.750)
Br (0.830, 0.330, 0.250)
Br (0.830, 0.330, 0.750)

Largest 6 diffraction maxima, low angle first, 15° ≤ 2θ ≤ 90°:
2θ/deg  I (rel.)
23.25  29
23.97  31
28.98  100
29.72  21
31.40  60
32.80  22

Record 3
Theoretical powder X-ray diffraction pattern of Tm2CuOs for Cu Kα, 1.54184 Å, from DFT lattice parameters and positions (GGA-PBE).

Cell and atoms:
abc: 4.788 4.788 4.788
angles: 60.00 60.00 60.00
Positions (direct):
Tm (0.250, 0.250, 0.250)
Tm (0.750, 0.750, 0.750)
Cu (0.000, 0.000, 0.000)
Os (0.500, 0.500, 0.500)

Largest 6 diffraction maxima, low angle first, 15° ≤ 2θ ≤ 90°:
2θ/deg  I (rel.)
22.75  9
37.57  100
44.37  5
54.19  17
67.81  35
80.20  11

Record 4
Theoretical powder X-ray diffraction pattern of LuSi2Ni for Cu Kα, 1.54184 Å, from DFT lattice parameters and positions (GGA-PBE).

Cell and atoms:
abc: 8.482 8.482 3.892
angles: 90.00 90.00 153.40
Positions (direct):
Lu (0.105, 0.895, 0.750)
Lu (0.895, 0.105, 0.250)
Si (0.250, 0.750, 0.250)
Si (0.460, 0.540, 0.750)
Si (0.540, 0.460, 0.250)
Si (0.750, 0.250, 0.750)
Ni (0.325, 0.675, 0.750)
Ni (0.675, 0.325, 0.250)

Largest 6 diffraction maxima, low angle first, 15° ≤ 2θ ≤ 90°:
2θ/deg  I (rel.)
21.53  38
25.30  33
32.95  69
35.62  70
36.46  100
60.06  31

Record 5
Theoretical powder X-ray diffraction pattern of BaP2PbO7 for Cu Kα, 1.54184 Å, from DFT lattice parameters and positions (GGA-PBE).

Cell and atoms:
abc: 9.231 5.699 13.637
angles: 90.00 90.00 90.00
Positions (direct):
Ba (0.163, 0.250, 0.239)
Ba (0.337, 0.750, 0.739)
Ba (0.663, 0.250, 0.261)
Ba (0.837, 0.750, 0.761)
P (0.040, 0.250, 0.680)
P (0.222, 0.750, 0.034)
P (0.278, 0.250, 0.534)
P (0.460, 0.750, 0.180)
P (0.540, 0.250, 0.820)
P (0.722, 0.750, 0.466)
P (0.778, 0.250, 0.966)
P (0.960, 0.750, 0.320)
Pb (0.137, 0.250, 0.913)
Pb (0.363, 0.750, 0.413)
Pb (0.637, 0.250, 0.587)
Pb (0.863, 0.750, 0.087)
O (0.089, 0.028, 0.735)
O (0.089, 0.472, 0.735)
O (0.110, 0.250, 0.571)
O (0.124, 0.750, 0.336)
O (0.148, 0.526, 0.073)
O (0.148, 0.974, 0.073)
O (0.229, 0.750, 0.922)
O (0.271, 0.250, 0.422)
O (0.352, 0.026, 0.573)
O (0.352, 0.474, 0.573)
O (0.376, 0.250, 0.836)
O (0.390, 0.750, 0.071)
O (0.411, 0.528, 0.235)
O (0.411, 0.972, 0.235)
O (0.589, 0.028, 0.765)
O (0.589, 0.472, 0.765)
O (0.610, 0.250, 0.929)
O (0.624, 0.750, 0.164)
O (0.648, 0.526, 0.427)
O (0.648, 0.974, 0.427)
O (0.729, 0.750, 0.578)
O (0.771, 0.250, 0.078)
O (0.852, 0.026, 0.927)
O (0.852, 0.474, 0.927)
O (0.876, 0.250, 0.664)
O (0.890, 0.750, 0.429)
O (0.911, 0.528, 0.265)
O (0.911, 0.972, 0.265)

Largest 6 diffraction maxima, low angle first, 15° ≤ 2θ ≤ 90°:
2θ/deg  I (rel.)
24.82  88
25.06  100
27.54  46
31.39  36
42.25  64
47.35  35